Gd2DyO4: theoretical X-ray powder pattern (Cu Ka), based on a cell relaxed with PBE.
Neutral-atom scattering factors, no anomalous dispersion.

Top 10 peaks for 15 to 90 degrees two-theta, in order of rising 2θ:
Position (°2θ), I_rel
26.19, 27
30.81, 100
32.22, 24
46.21, 12
49.19, 38
53.89, 40
63.37, 13
64.19, 12
75.95, 22
87.85, 13

Structure:
Unit cell a=9.6240 b=9.6240 c=9.6240 alpha=90.00 beta=90.00 gamma=90.00
Space group Fd-3m (No. 227, origin choice 2)
Asymmetric unit:
Gd (0.0000, 0.0000, 0.0000)
Dy (0.1250, 0.1250, 0.6250)
O (0.0058, 0.0058, 0.2442)